Starting from a cell relaxed with PBE, the XRD peak list of MgSn3O7 was computed for copper Kα.
Neutral-atom scattering factors, no anomalous dispersion.

Crystal structure
```
MgSn3O7
1.0
10.2353 0.0000 0.0000
0.0000 10.3186 0.0000
0.0000 0.0000 5.2351
Mg Sn O
4 12 28
direct
0.1367 0.2500 0.1686
0.3633 0.7500 0.6686
0.6367 0.2500 0.3314
0.8633 0.7500 0.8314
0.1388 0.0160 0.6466
0.1388 0.4840 0.6466
0.1448 0.7500 0.1864
0.3552 0.2500 0.6864
0.3612 0.5160 0.1466
0.3612 0.9840 0.1466
0.6388 0.0160 0.8534
0.6388 0.4840 0.8534
0.6448 0.7500 0.3136
0.8552 0.2500 0.8136
0.8612 0.5160 0.3534
0.8612 0.9840 0.3534
0.0322 0.0840 0.3171
0.0322 0.4160 0.3171
0.0448 0.2500 0.8003
0.2194 0.6219 0.9268
0.2194 0.8781 0.9268
0.2439 0.6215 0.4251
0.2439 0.8785 0.4251
0.2561 0.1215 0.9251
0.2561 0.3785 0.9251
0.2806 0.1219 0.4268
0.2806 0.3781 0.4268
0.4552 0.7500 0.3003
0.4678 0.5840 0.8171
0.4678 0.9160 0.8171
0.5322 0.0840 0.1829
0.5322 0.4160 0.1829
0.5448 0.2500 0.6997
0.7194 0.6219 0.5732
0.7194 0.8781 0.5732
0.7439 0.6215 0.0749
0.7439 0.8785 0.0749
0.7561 0.1215 0.5749
0.7561 0.3785 0.5749
0.7806 0.1219 0.0732
0.7806 0.3781 0.0732
0.9552 0.7500 0.1997
0.9678 0.5840 0.6829
0.9678 0.9160 0.6829
```

Main lines, sorted by position (2θ from 15° to 90°):
| 2theta | d [Å] | I_rel |
| --- | --- | --- |
| 19.02 | 4.667 | 25 |
| 25.76 | 3.458 | 34 |
| 29.94 | 2.985 | 100 |
| 34.78 | 2.580 | 17 |
| 35.40 | 2.536 | 15 |
| 35.92 | 2.500 | 20 |
| 50.22 | 1.817 | 21 |
| 50.46 | 1.808 | 23 |
| 57.12 | 1.613 | 16 |
| 59.38 | 1.556 | 14 |

***

Starting from a cell relaxed with PBE, the XRD peak list of Mg2Sn2O5 was computed for copper Kα.
Neutral-atom scattering factors, no anomalous dispersion.

Crystal structure
```
Mg2Sn2O5
1.0
5.5544 0.0000 0.0000
0.0000 10.5418 0.0000
0.0000 0.0000 3.9601
Mg Sn O
4 4 10
direct
0.1397 0.1067 0.0000
0.3603 0.6067 0.0000
0.6397 0.3933 0.0000
0.8603 0.8933 0.0000
0.1582 0.3875 0.5000
0.3418 0.8875 0.5000
0.6582 0.1125 0.5000
0.8418 0.6125 0.5000
0.0000 0.0000 0.5000
0.2062 0.7023 0.5000
0.2321 0.9012 0.0000
0.2679 0.4012 0.0000
0.2938 0.2023 0.5000
0.5000 0.5000 0.5000
0.7062 0.7977 0.5000
0.7321 0.5988 0.0000
0.7679 0.0988 0.0000
0.7938 0.2977 0.5000
```

Main lines, sorted by position (2θ from 15° to 90°):
| 2theta | d [Å] | I_rel |
| --- | --- | --- |
| 22.45 | 3.960 | 76 |
| 23.26 | 3.823 | 100 |
| 28.96 | 3.083 | 50 |
| 32.55 | 2.751 | 100 |
| 33.36 | 2.686 | 31 |
| 34.02 | 2.635 | 47 |
| 41.44 | 2.179 | 41 |
| 45.83 | 1.980 | 37 |
| 47.62 | 1.910 | 34 |
| 55.48 | 1.656 | 37 |

***

Starting from a cell relaxed with PBE, the XRD peak list of Mg2SnO4 was computed for copper Kα.
Neutral-atom scattering factors, no anomalous dispersion.

Crystal structure
```
Mg2SnO4
1.0
0.0000 4.3399 4.3399
4.3399 0.0000 4.3399
4.3399 4.3399 0.0000
Mg Sn O
4 2 8
direct
0.0000 0.0000 0.0000
0.0000 0.0000 0.5000
0.0000 0.5000 0.0000
0.5000 0.0000 0.0000
0.3750 0.3750 0.3750
0.6250 0.6250 0.6250
0.2268 0.7577 0.7577
0.2423 0.2423 0.2423
0.2423 0.2423 0.7732
0.2423 0.7732 0.2423
0.7577 0.2268 0.7577
0.7577 0.7577 0.2268
0.7577 0.7577 0.7577
0.7732 0.2423 0.2423
```

Main lines, sorted by position (2θ from 15° to 90°):
| 2theta | d [Å] | I_rel |
| --- | --- | --- |
| 17.70 | 5.011 | 39 |
| 29.10 | 3.069 | 94 |
| 34.26 | 2.617 | 100 |
| 45.55 | 1.991 | 17 |
| 51.58 | 1.772 | 39 |
| 54.97 | 1.670 | 39 |
| 60.32 | 1.534 | 41 |
| 68.35 | 1.372 | 17 |
| 83.31 | 1.160 | 22 |
| 86.03 | 1.130 | 22 |

***

Starting from a cell relaxed with PBE, the XRD peak list of MgSn2O5 was computed for copper Kα.
Neutral-atom scattering factors, no anomalous dispersion.

Crystal structure
```
MgSn2O5
1.0
1.9983 -5.2385 0.0000
1.9983 5.2385 0.0000
0.0000 0.0000 10.3537
Mg Sn O
2 4 10
direct
0.1844 0.8156 0.7500
0.8156 0.1844 0.2500
0.1361 0.8639 0.0667
0.1361 0.8639 0.4333
0.8639 0.1361 0.5667
0.8639 0.1361 0.9333
0.0507 0.9493 0.6145
0.0507 0.9493 0.8855
0.2278 0.7722 0.2500
0.3030 0.6970 0.5662
0.3030 0.6970 0.9338
0.6970 0.3030 0.0662
0.6970 0.3030 0.4338
0.7722 0.2278 0.7500
0.9493 0.0507 0.1145
0.9493 0.0507 0.3855
```

Main lines, sorted by position (2θ from 15° to 90°):
| 2theta | d [Å] | I_rel |
| --- | --- | --- |
| 17.13 | 5.177 | 61 |
| 18.99 | 4.674 | 27 |
| 23.83 | 3.734 | 100 |
| 29.49 | 3.028 | 25 |
| 31.03 | 2.882 | 82 |
| 34.09 | 2.630 | 37 |
| 35.41 | 2.535 | 41 |
| 45.39 | 1.998 | 29 |
| 56.00 | 1.642 | 32 |
| 56.28 | 1.634 | 33 |

***

Starting from a cell relaxed with PBE, the XRD peak list of SrMg14SnO16 was computed for copper Kα.
Neutral-atom scattering factors, no anomalous dispersion.

Crystal structure
```
SrMg14SnO16
1.0
8.8045 0.0000 0.0000
0.0000 8.8045 0.0000
0.0000 0.0000 4.4839
Sr Mg Sn O
1 14 1 16
direct
0.0000 0.0000 0.0000
0.0000 0.2588 0.5000
0.0000 0.5000 0.0000
0.0000 0.7412 0.5000
0.2419 0.5000 0.5000
0.2509 0.2509 0.0000
0.2509 0.7491 0.0000
0.2588 0.0000 0.5000
0.5000 0.0000 0.0000
0.5000 0.2419 0.5000
0.5000 0.7581 0.5000
0.7412 0.0000 0.5000
0.7491 0.2509 0.0000
0.7491 0.7491 0.0000
0.7581 0.5000 0.5000
0.5000 0.5000 0.0000
0.0000 0.0000 0.5000
0.0000 0.2688 0.0000
0.0000 0.5000 0.5000
0.0000 0.7312 0.0000
0.2316 0.5000 0.0000
0.2500 0.2500 0.5000
0.2500 0.7500 0.5000
0.2688 0.0000 0.0000
0.5000 0.0000 0.5000
0.5000 0.2316 0.0000
0.5000 0.5000 0.5000
0.5000 0.7684 0.0000
0.7312 0.0000 0.0000
0.7500 0.2500 0.5000
0.7500 0.7500 0.5000
0.7684 0.5000 0.0000
```

Main lines, sorted by position (2θ from 15° to 90°):
| 2theta | d [Å] | I_rel |
| --- | --- | --- |
| 20.17 | 4.402 | 24 |
| 24.47 | 3.638 | 27 |
| 28.41 | 3.141 | 20 |
| 32.15 | 2.784 | 20 |
| 35.09 | 2.557 | 44 |
| 40.22 | 2.242 | 54 |
| 41.00 | 2.201 | 100 |
| 58.79 | 1.571 | 62 |
| 59.38 | 1.556 | 29 |
| 74.17 | 1.279 | 28 |

***

Starting from a cell relaxed with PBE, the XRD peak list of SrMg14SnO16 was computed for copper Kα.
Neutral-atom scattering factors, no anomalous dispersion.

Crystal structure
```
SrMg14SnO16
1.0
4.4748 0.0000 0.0000
0.0000 8.7734 0.0000
0.0000 0.0000 8.9068
Sr Mg Sn O
1 14 1 16
direct
0.0000 0.0000 0.0000
0.0000 0.2611 0.2513
0.0000 0.2611 0.7487
0.0000 0.5000 0.0000
0.0000 0.5000 0.5000
0.0000 0.7389 0.2513
0.0000 0.7389 0.7487
0.5000 0.0000 0.2509
0.5000 0.0000 0.7491
0.5000 0.2600 0.5000
0.5000 0.2610 0.0000
0.5000 0.5000 0.2500
0.5000 0.5000 0.7500
0.5000 0.7390 0.0000
0.5000 0.7400 0.5000
0.0000 0.0000 0.5000
0.0000 0.0000 0.2528
0.0000 0.0000 0.7472
0.0000 0.2727 0.0000
0.0000 0.2738 0.5000
0.0000 0.5000 0.2501
0.0000 0.5000 0.7499
0.0000 0.7262 0.5000
0.0000 0.7273 0.0000
0.5000 0.0000 0.0000
0.5000 0.0000 0.5000
0.5000 0.2509 0.2498
0.5000 0.2509 0.7502
0.5000 0.5000 0.0000
0.5000 0.5000 0.5000
0.5000 0.7491 0.2498
0.5000 0.7491 0.7502
```

Main lines, sorted by position (2θ from 15° to 90°):
| 2theta | d [Å] | I_rel |
| --- | --- | --- |
| 19.89 | 4.464 | 44 |
| 28.53 | 3.129 | 38 |
| 35.02 | 2.562 | 81 |
| 40.31 | 2.237 | 100 |
| 40.51 | 2.227 | 98 |
| 41.16 | 2.193 | 90 |
| 58.48 | 1.578 | 59 |
| 58.97 | 1.566 | 55 |
| 59.12 | 1.563 | 55 |
| 73.99 | 1.281 | 52 |